No. 1
Diffraction record for Rb2Cd3In17. The powder X-ray diffraction pattern is theoretical, not measured: it uses a crystal structure in Alexandria, relaxed with PBE and Cu Ka.

Atomic structure:
```
data_Rb2Cd3In17
_chemical_formula_sum 'Rb6 Cd9 In51'
_symmetry_space_group_name_H-M 'R -3 m'
_symmetry_Int_Tables_number 166
_symmetry_space_group_name_Hall '-R 3 2"'
_cell_length_a 11.7417
_cell_length_b 11.7417
_cell_length_c 17.1769
_cell_angle_alpha 90.00
_cell_angle_beta 90.00
_cell_angle_gamma 120.00
loop_
_atom_site_label
_atom_site_fract_x
_atom_site_fract_y
_atom_site_fract_z
Rb1 0.0000 0.0000 0.1428
Cd1 0.0000 0.5000 0.5000
In1 0.0000 0.0000 0.3831
In2 0.0000 0.2547 0.5000
In3 0.0000 0.5000 0.0000
In4 0.0075 0.5037 0.6723
```

Main lines, sorted by position (15 to 90 degrees two-theta):
d (Å)	I/Imax	index
2.935	95	2 2 0
2.863	100	0 0 6
2.612	47	2 2 3
2.515	30	4 0 1
2.050	51	2 2 6
1.468	28	4 4 0

No. 2
Diffraction record for CsBe2Ga2O6. The powder X-ray diffraction pattern is theoretical, not measured: it uses a crystal structure in Alexandria, relaxed with PBE and Cu Ka.

Atomic structure:
```
data_CsBe2Ga2O6
_chemical_formula_sum 'Cs2 Be4 Ga4 O12'
_symmetry_space_group_name_H-M 'I m m m'
_symmetry_Int_Tables_number 71
_symmetry_space_group_name_Hall '-I 2 2'
_cell_length_a 5.278
_cell_length_b 6.997
_cell_length_c 7.499
_cell_angle_alpha 90.00
_cell_angle_beta 90.00
_cell_angle_gamma 90.00
loop_
_atom_site_label
_atom_site_fract_x
_atom_site_fract_y
_atom_site_fract_z
Cs1 0.000 0.000 0.000
Be1 0.000 0.172 0.500
Ga1 0.000 0.500 0.191
O1 0.000 0.279 0.315
O2 0.245 0.000 0.500
```

Main lines, sorted by position (15 to 90 degrees two-theta):
d (Å)	I/Imax	index
4.316	45	1 0 1
3.499	40	0 2 0
2.801	100	1 1 2
2.718	66	1 2 1
2.639	34	2 0 0
1.757	29	2 1 3

No. 3
Diffraction record for AcLaH. The powder X-ray diffraction pattern is theoretical, not measured: it uses a crystal structure in Alexandria, relaxed with PBE and Cu Ka.

Atomic structure:
```
data_AcLaH
_chemical_formula_sum 'Ac8 La8 H8'
_symmetry_space_group_name_H-M 'P 41 2 2'
_symmetry_Int_Tables_number 91
_cell_length_a 3.742
_cell_length_b 3.742
_cell_length_c 48.786
_cell_angle_alpha 90.00
_cell_angle_beta 90.00
_cell_angle_gamma 90.00
loop_
_symmetry_equiv_pos_as_xyz
'x,y,z'
'-y,x,z+1/4'
'-x,-y,z+1/2'
'y,-x,z+3/4'
'x,-y,-z+1/2'
'-y,-x,-z+1/4'
'-x,y,-z'
'y,x,-z+3/4'
loop_
_atom_site_label
_atom_site_fract_x
_atom_site_fract_y
_atom_site_fract_z
Ac1 0.239 0.258 0.212
La1 0.240 0.262 0.095
H1 0.241 0.261 0.046
```

Main lines, sorted by position (15 to 90 degrees two-theta):
d (Å)	I/Imax	index
3.297	73	1 0 7
3.079	100	1 0 9
3.049	38	0 0 16
2.631	56	1 1 2
1.893	46	1 1 18
1.627	30	1 0 27

No. 4
Diffraction record for CaSmCd4. The powder X-ray diffraction pattern is theoretical, not measured: it uses a crystal structure in Alexandria, relaxed with PBE and Cu Ka.

Atomic structure:
```
data_CaSmCd4
_chemical_formula_sum 'Ca2 Sm2 Cd8'
_symmetry_space_group_name_H-M 'C 1 2/m 1'
_symmetry_Int_Tables_number 12
_cell_length_a 5.011
_cell_length_b 8.673
_cell_length_c 7.221
_cell_angle_alpha 90.00
_cell_angle_beta 90.15
_cell_angle_gamma 90.00
loop_
_symmetry_equiv_pos_as_xyz
'x,y,z'
'-x,-y,-z'
'-x,y,-z'
'x,-y,z'
'x+1/2,y+1/2,z'
'-x+1/2,-y+1/2,-z'
'-x+1/2,y+1/2,-z'
'x+1/2,-y+1/2,z'
loop_
_atom_site_label
_atom_site_fract_x
_atom_site_fract_y
_atom_site_fract_z
Ca1 0.000 0.000 0.000
Sm1 0.000 0.000 0.500
Cd1 0.001 0.333 0.733
```

Main lines, sorted by position (15 to 90 degrees two-theta):
d (Å)	I/Imax	index
2.775	100	1 1 2
2.505	92	2 0 0
1.860	20	0 4 2
1.492	14	2 4 2
1.463	14	2 0 4
1.446	17	3 3 0